Starting from a cell relaxed with PBE+U, the X-ray diffraction stick pattern of FeP4O12 was calculated for Cu Kα (weighted mean of Kα1 and Kα2).
Lines closer than 0.1° are merged.

Structural model:
Lattice parameters (Å, degrees): 8.4174 11.8758 9.3717 90.00 95.01 90.00
Space group C2/c (No. 15)
Asymmetric unit:
Fe 0.0000 0.1097 0.2500 x4
P 0.0448 0.3368 0.4706 x8
P 0.2423 0.0412 0.9967 x8
O 0.0745 0.3037 0.6239 x8
O 0.0850 0.2465 0.3648 x8
O 0.1321 0.0050 0.3769 x8
O 0.1346 0.3773 0.0758 x8
O 0.1437 0.4463 0.4268 x8
O 0.1721 0.1045 0.1142 x8

Largest 10 diffraction maxima, in order of rising 2θ, 2θ from 10° to 90°:
| hkl | d_spacing | I (rel.) |
| --- | --- | --- |
| 1 1 -1 | 5.721 | 83 |
| 1 1 1 | 5.344 | 74 |
| 0 2 1 | 5.010 | 51 |
| 0 0 2 | 4.668 | 70 |
| 1 1 -2 | 3.992 | 68 |
| 1 1 2 | 3.735 | 54 |
| 2 2 0 | 3.425 | 70 |
| 1 3 1 | 3.302 | 100 |
| 2 2 1 | 3.144 | 43 |
| 2 2 -2 | 2.860 | 48 |